(1)
Starting from the PBE geometry in Alexandria, the powder XRD pattern of Nb10C7 was computed for Cu Kα (λ = 1.5418 Å).

Peak list (10 most intense, 2θ from 15° to 90°, in order of rising 2θ)
hkl 2 0 0, 2θ = 34.61°, rel. 100.0; hkl 1 5 -1, 2θ = 34.78°, rel. 98.2; hkl 2 0 -2, 2θ = 40.06°, rel. 42.9; hkl 1 5 1, 2θ = 40.38°, rel. 88.6; hkl 2 0 2, 2θ = 58.19°, rel. 68.3; hkl 0 10 0, 2θ = 58.65°, rel. 13.8; hkl 3 5 1, 2θ = 69.61°, rel. 25.8; hkl 2 10 0, 2θ = 69.92°, rel. 24.6; hkl 4 0 0, 2θ = 73.00°, rel. 13.3; hkl 2 10 -2, 2θ = 73.41°, rel. 12.8

Structure:
```
data_Nb10C7
_chemical_formula_sum 'Nb20 C14'
_cell_length_a 5.5026
_cell_length_b 15.7398
_cell_length_c 5.5088
_cell_angle_alpha 90.00
_cell_angle_beta 109.68
_cell_angle_gamma 90.00
_space_group_name_H-M_alt 'C 1 2/m 1'
_space_group_IT_number 12
loop_
_space_group_symop_operation_xyz
'x,y,z'
'-x,-y,-z'
'-x,y,-z'
'x,-y,z'
'x+1/2,y+1/2,z'
'-x+1/2,-y+1/2,-z'
'-x+1/2,y+1/2,-z'
'x+1/2,-y+1/2,z'
loop_
_atom_site_label
_atom_site_type_symbol
_atom_site_fract_x
_atom_site_fract_y
_atom_site_fract_z
Nb1 Nb 0.2360 0.0000 0.2642
Nb2 Nb 0.2435 0.3041 0.7690
Nb3 Nb 0.2492 0.1022 0.7408
C1 C 0.0000 0.0000 0.5000
C2 C 0.0000 0.1011 0.0000
C3 C 0.0000 0.3003 0.0000
C4 C 0.0000 0.3992 0.5000
```

=====

(2)
Starting from the PBE geometry in Alexandria, the powder XRD pattern of GeOsRu was computed for Cu Kα (λ = 1.5418 Å).

Peak list (10 most intense, 2θ from 15° to 90°, in order of rising 2θ)
hkl 1 1 0, 2θ = 24.46°, rel. 23.6; hkl 1 1 1, 2θ = 35.32°, rel. 17.9; hkl 3 1 -1, 2θ = 35.77°, rel. 23.1; hkl 3 1 0, 2θ = 39.92°, rel. 84.6; hkl 4 0 -2, 2θ = 41.21°, rel. 41.3; hkl 1 1 -2, 2θ = 42.17°, rel. 100.0; hkl 3 1 -2, 2θ = 42.56°, rel. 15.8; hkl 0 2 0, 2θ = 44.54°, rel. 46.6; hkl 5 1 -1, 2θ = 53.57°, rel. 17.9; hkl 4 2 -2, 2θ = 62.29°, rel. 26.8

Structure:
```
data_GeOsRu
_chemical_formula_sum 'Ge4 Os4 Ru4'
_cell_length_a 9.6098
_cell_length_b 4.0683
_cell_length_c 5.2675
_cell_angle_alpha 90.00
_cell_angle_beta 122.05
_cell_angle_gamma 90.00
_space_group_name_H-M_alt 'C 1 2/m 1'
_space_group_IT_number 12
loop_
_space_group_symop_operation_xyz
'x,y,z'
'-x,-y,-z'
'-x,y,-z'
'x,-y,z'
'x+1/2,y+1/2,z'
'-x+1/2,-y+1/2,-z'
'-x+1/2,y+1/2,-z'
'x+1/2,-y+1/2,z'
loop_
_atom_site_label
_atom_site_type_symbol
_atom_site_fract_x
_atom_site_fract_y
_atom_site_fract_z
Ge1 Ge 0.1677 0.0000 0.1271
Os1 Os 0.0457 0.5000 0.7865
Ru1 Ru 0.1579 0.0000 0.5872
```

=====

(3)
Starting from the PBE geometry in Alexandria, the powder XRD pattern of CrNi5Pt was computed for Cu Kα (λ = 1.5418 Å).

Peak list (10 most intense, 2θ from 15° to 90°, in order of rising 2θ)
hkl 1 1 0, 2θ = 21.69°, rel. 79.2; hkl 1 1 1, 2θ = 28.07°, rel. 67.3; hkl 1 3 0, 2θ = 41.86°, rel. 14.8; hkl 1 1 2, 2θ = 42.10°, rel. 29.2; hkl 0 2 2, 2θ = 43.90°, rel. 100.0; hkl 2 2 0, 2θ = 44.21°, rel. 98.0; hkl 1 3 1, 2θ = 45.74°, rel. 18.0; hkl 0 4 0, 2θ = 50.87°, rel. 31.9; hkl 2 0 2, 2θ = 51.55°, rel. 61.2; hkl 2 4 2, 2θ = 75.35°, rel. 37.3

Structure:
```
data_CrNi5Pt
_chemical_formula_sum 'Cr2 Ni10 Pt2'
_cell_length_a 4.9899
_cell_length_b 7.1805
_cell_length_c 5.0389
_cell_angle_alpha 90.00
_cell_angle_beta 90.00
_cell_angle_gamma 90.00
_space_group_name_H-M_alt 'C m m m'
_space_group_IT_number 65
_space_group_name_Hall '-C 2 2'
loop_
_atom_site_label
_atom_site_type_symbol
_atom_site_fract_x
_atom_site_fract_y
_atom_site_fract_z
Cr1 Cr 0.0000 0.0000 0.0000
Ni1 Ni 0.0000 0.5000 0.0000
Ni2 Ni 0.2500 0.2500 0.2483
Pt1 Pt 0.0000 0.5000 0.5000
```

=====

(4)
Starting from the PBE geometry in Alexandria, the powder XRD pattern of K4Rb7 was computed for Cu Kα (λ = 1.5418 Å).

Peak list (10 most intense, 2θ from 15° to 90°, in order of rising 2θ)
hkl 2 0 1, 2θ = 20.44°, rel. 100.0; hkl 2 1 0, 2θ = 21.31°, rel. 27.3; hkl 2 1 1, 2θ = 24.80°, rel. 33.6; hkl 0 0 2, 2θ = 25.25°, rel. 26.0; hkl 2 2 0, 2θ = 28.02°, rel. 24.1; hkl 2 1 2, 2θ = 33.27°, rel. 17.1; hkl 3 2 1, 2θ = 37.76°, rel. 13.4; hkl 2 2 2, 2θ = 38.07°, rel. 20.6; hkl 2 0 3, 2θ = 41.76°, rel. 15.1; hkl 5 0 1, 2θ = 42.95°, rel. 15.0

Structure:
```
data_K4Rb7
_chemical_formula_sum 'K4 Rb7'
_cell_length_a 12.7394
_cell_length_b 12.7394
_cell_length_c 7.0546
_cell_angle_alpha 90.00
_cell_angle_beta 90.00
_cell_angle_gamma 120.00
_space_group_name_H-M_alt 'P -6 m 2'
_space_group_IT_number 187
_space_group_name_Hall 'P -6 2'
loop_
_atom_site_label
_atom_site_type_symbol
_atom_site_fract_x
_atom_site_fract_y
_atom_site_fract_z
K1 K 0.0000 0.0000 0.0000
K2 K 0.0843 0.5421 0.5000
Rb1 Rb 0.1988 0.3975 0.0000
Rb2 Rb 0.2783 0.1391 0.5000
Rb3 Rb 0.6667 0.3333 0.0000
```

=====

(5)
Starting from the PBE geometry in Alexandria, the powder XRD pattern of LiDy2SnSe4 was computed for Cu Kα (λ = 1.5418 Å).

Peak list (10 most intense, 2θ from 15° to 90°, in order of rising 2θ)
hkl 1 2 1, 2θ = 25.18°, rel. 13.2; hkl 2 2 0, 2θ = 30.47°, rel. 100.0; hkl 0 0 4, 2θ = 30.65°, rel. 49.2; hkl 4 0 0, 2θ = 43.63°, rel. 37.2; hkl 2 2 4, 2θ = 43.76°, rel. 73.7; hkl 4 0 4, 2θ = 54.26°, rel. 39.0; hkl 6 2 0, 2θ = 71.98°, rel. 16.8; hkl 4 4 4, 2θ = 72.07°, rel. 16.7; hkl 2 2 8, 2θ = 72.35°, rel. 16.5; hkl 6 2 4, 2θ = 80.23°, rel. 25.1

Structure:
```
data_LiDy2SnSe4
_chemical_formula_sum 'Li4 Dy8 Sn4 Se16'
_cell_length_a 8.2944
_cell_length_b 8.3001
_cell_length_c 11.6686
_cell_angle_alpha 90.00
_cell_angle_beta 90.00
_cell_angle_gamma 90.00
_space_group_name_H-M_alt 'I m m a'
_space_group_IT_number 74
_space_group_name_Hall '-I 2b 2'
loop_
_atom_site_label
_atom_site_type_symbol
_atom_site_fract_x
_atom_site_fract_y
_atom_site_fract_z
Li1 Li 0.0000 0.0000 0.0000
Dy1 Dy 0.0000 0.0000 0.5000
Dy2 Dy 0.2500 0.2500 0.2500
Sn1 Sn 0.2500 0.2500 0.7500
Se1 Se 0.0000 0.0090 0.2477
Se2 Se 0.2484 0.2500 0.4955
```

=====

(6)
Starting from the PBE geometry in Alexandria, the powder XRD pattern of Pm2Zn12Cu3Ir was computed for Cu Kα (λ = 1.5418 Å).

Peak list (10 most intense, 2θ from 15° to 90°, in order of rising 2θ)
hkl 0 1 5, 2θ = 22.22°, rel. 31.0; hkl 1 1 3, 2θ = 32.26°, rel. 75.4; hkl 0 1 11, 2θ = 34.28°, rel. 46.9; hkl 1 1 6, 2θ = 35.14°, rel. 39.2; hkl 0 2 4, 2θ = 37.81°, rel. 39.2; hkl 0 1 14, 2θ = 41.53°, rel. 27.5; hkl 2 0 8, 2θ = 42.24°, rel. 100.0; hkl 0 2 10, 2θ = 45.33°, rel. 29.4; hkl 2 2 0, 2θ = 65.16°, rel. 38.2; hkl 0 4 8, 2θ = 80.79°, rel. 22.8

Structure:
```
data_Pm2Zn12Cu3Ir
_chemical_formula_sum 'Pm6 Zn36 Cu9 Ir3'
_cell_length_a 5.7263
_cell_length_b 5.7263
_cell_length_c 33.8700
_cell_angle_alpha 90.00
_cell_angle_beta 90.00
_cell_angle_gamma 120.00
_space_group_name_H-M_alt 'R -3 m'
_space_group_IT_number 166
_space_group_name_Hall '-R 3 2"'
loop_
_atom_site_label
_atom_site_type_symbol
_atom_site_fract_x
_atom_site_fract_y
_atom_site_fract_z
Pm1 Pm 0.0000 0.0000 0.1420
Zn1 Zn 0.0006 0.5003 0.8910
Zn2 Zn 0.0296 0.5148 0.6146
Cu1 Cu 0.0000 0.5000 0.0000
Ir1 Ir 0.0000 0.0000 0.5000
```

=====

(7)
Starting from the PBE geometry in Alexandria, the powder XRD pattern of AcTb2Pm4Sm was computed for Cu Kα (λ = 1.5418 Å).

Peak list (10 most intense, 2θ from 15° to 90°, in order of rising 2θ)
hkl 1 1 2, 2θ = 29.84°, rel. 100.0; hkl 0 2 0, 2θ = 34.55°, rel. 33.9; hkl 2 0 0, 2θ = 34.67°, rel. 16.9; hkl 2 2 0, 2θ = 49.71°, rel. 30.4; hkl 2 0 4, 2θ = 49.79°, rel. 6.0; hkl 1 3 2, 2θ = 59.02°, rel. 28.9; hkl 3 1 2, 2θ = 59.19°, rel. 14.5; hkl 2 2 4, 2θ = 61.99°, rel. 12.5; hkl 3 3 2, 2θ = 80.80°, rel. 8.9; hkl 2 4 0, 2θ = 83.23°, rel. 9.6

Structure:
```
data_AcTb2Pm4Sm
_chemical_formula_sum 'Ac1 Tb2 Pm4 Sm1'
_cell_length_a 5.1740
_cell_length_b 5.1930
_cell_length_c 10.3834
_cell_angle_alpha 90.00
_cell_angle_beta 90.07
_cell_angle_gamma 90.00
_space_group_name_H-M_alt 'P 1 2/m 1'
_space_group_IT_number 10
loop_
_space_group_symop_operation_xyz
'x,y,z'
'-x,-y,-z'
'-x,y,-z'
'x,-y,z'
loop_
_atom_site_label
_atom_site_type_symbol
_atom_site_fract_x
_atom_site_fract_y
_atom_site_fract_z
Ac1 Ac 0.0000 0.0000 0.0000
Tb1 Tb 0.0000 0.0000 0.5000
Tb2 Tb 0.5000 0.5000 0.0000
Pm1 Pm 0.0001 0.5000 0.2563
Pm2 Pm 0.5005 0.0000 0.2571
Sm1 Sm 0.5000 0.5000 0.5000
```